# Pm6Si3H
Theoretical powder X-ray diffraction pattern, a wavelength of 1.5418 Å. Input: the PBE geometry in Alexandria.
Neutral-atom scattering factors, no anomalous dispersion.

Structural model:
abc: 6.338 8.100 11.763
angles: 90.00 122.45 90.00
Space group P2_1/c (No. 14)
Unique sites:
Pm 0.070 0.182 0.440 x4
Pm 0.297 0.672 0.442 x4
Pm 0.369 0.040 0.233 x4
Si 0.175 0.119 0.749 x4
Si 0.500 0.000 0.500 x2
H 0.000 0.000 0.000 x2

Top 12 peaks for 10 to 90 degrees two-theta, low angle first:
d [Å], 2θ/deg, Rel. int., hkl
3.520, 25.30, 52.3, 1 1 1
3.228, 27.64, 62.2, 1 2 0
3.138, 28.44, 80.7, 0 2 2
2.951, 30.29, 90.9, 2 1 -2
2.932, 30.49, 100.0, 1 0 -4
2.829, 31.62, 87.7, 2 1 -1
2.812, 31.83, 79.1, 1 2 -3
2.758, 32.46, 73.3, 1 1 2
2.536, 35.39, 44.9, 2 1 -4
2.483, 36.17, 74.3, 1 3 -1
1.929, 47.12, 34.1, 1 4 -1
1.746, 52.41, 57.9, 2 3 1